Record 1
Calculated X-ray powder pattern
Compound: Tl8B3S8
Radiation: Cu Ka
Structure: the PBE geometry in Alexandria
Lines closer than 0.1° are merged.

Cell lengths 6.6963, 8.9379, 9.3035 Å; angles 80.36, 81.70, 76.61 degrees
Space group P-1 (No. 2)
Inequivalent atoms, fractional coordinates:
Tl 0.1087 0.2941 0.4965 x2
Tl 0.2443 0.8288 0.0893 x2
Tl 0.2581 0.5032 0.8491 x2
Tl 0.3775 0.9211 0.6987 x2
B 0.1863 0.2106 0.1338 x2
B 0.5000 0.5000 0.5000 x1
S 0.1031 0.0719 0.2850 x2
S 0.2233 0.1717 0.9438 x2
S 0.2356 0.3909 0.1767 x2
S 0.4041 0.6894 0.4459 x2

Top 10 peaks for 10° ≤ 2θ ≤ 90°, in order of rising 2θ:
19.66°, I 27.4, (1 1 -1); 22.42°, I 92.4, (1 2 1); 27.18°, I 50.9, (1 -2 0); 27.27°, I 33.7, (-1 1 2); 28.22°, I 51.1, (2 0 1); 29.78°, I 56.3, (0 1 3); 30.50°, I 100.0, (0 2 -2); 31.12°, I 22.6, (1 0 3); 31.34°, I 60.7, (0 3 1); 44.59°, I 22.4, (2 1 4)

Record 2
Calculated X-ray powder pattern
Compound: Ac2ZnGa2Rh
Radiation: Cu Ka
Structure: the PBE geometry in Alexandria
Lines closer than 0.1° are merged.

Cell lengths 6.3721, 14.8142, 6.2980 Å; angles 90.00, 90.00, 90.00 degrees
Space group Ibam (No. 72)
Inequivalent atoms, fractional coordinates:
Ac 0.2437 0.1571 0.0000 x8
Zn 0.0000 0.5000 0.2500 x4
Ga 0.2489 0.0938 0.5000 x8
Rh 0.0000 0.0000 0.2500 x4

Top 10 peaks for 10° ≤ 2θ ≤ 90°, in order of rising 2θ:
23.21°, I 84.2, (1 2 1); 28.01°, I 31.1, (2 0 0); 28.34°, I 30.4, (0 0 2); 30.54°, I 26.0, (2 2 0); 30.85°, I 25.4, (0 2 2); 31.34°, I 100.0, (1 4 1); 37.23°, I 61.2, (2 4 0); 37.49°, I 60.2, (0 4 2); 40.27°, I 83.7, (2 0 2); 53.55°, I 43.7, (1 8 1)

Copy entry 1 word for word.
Calculated X-ray powder pattern
Compound: Tl8B3S8
Radiation: Cu Ka
Structure: the PBE geometry in Alexandria
Lines closer than 0.1° are merged.

Cell lengths 6.6963, 8.9379, 9.3035 Å; angles 80.36, 81.70, 76.61 degrees
Space group P-1 (No. 2)
Inequivalent atoms, fractional coordinates:
Tl 0.1087 0.2941 0.4965 x2
Tl 0.2443 0.8288 0.0893 x2
Tl 0.2581 0.5032 0.8491 x2
Tl 0.3775 0.9211 0.6987 x2
B 0.1863 0.2106 0.1338 x2
B 0.5000 0.5000 0.5000 x1
S 0.1031 0.0719 0.2850 x2
S 0.2233 0.1717 0.9438 x2
S 0.2356 0.3909 0.1767 x2
S 0.4041 0.6894 0.4459 x2

Top 10 peaks for 10° ≤ 2θ ≤ 90°, in order of rising 2θ:
19.66°, I 27.4, (1 1 -1); 22.42°, I 92.4, (1 2 1); 27.18°, I 50.9, (1 -2 0); 27.27°, I 33.7, (-1 1 2); 28.22°, I 51.1, (2 0 1); 29.78°, I 56.3, (0 1 3); 30.50°, I 100.0, (0 2 -2); 31.12°, I 22.6, (1 0 3); 31.34°, I 60.7, (0 3 1); 44.59°, I 22.4, (2 1 4)

What is the formula in the first record?
Tl8B3S8